[1]
Starting from a crystal structure in OQMD, relaxed with PBE, the powder diffractogram of PrSm2Cd3AgAu2 was simulated for Cu Ka.

Main lines, sorted by position (5 to 70 degrees two-theta):
d_spacing	Position (°2θ)	Rel. int.
3.981	22.33	12
2.817	31.77	77
2.607	34.40	100
2.601	34.48	11
2.297	39.21	38
2.181	41.40	26
1.993	45.52	29
1.583	58.28	16
1.506	61.59	23
1.471	63.23	18

Structural model:
a b c (Å): 3.9872 7.9641 7.9641
angles (deg): 120.14 90.00 90.00
Element x y z (fractional)
Pr  0.0000  0.0000  0.0000
Sm  0.0000  0.4096  0.8197
Sm  0.0000  0.8197  0.4096
Cd  0.5000  0.1533  0.4114
Cd  0.5000  0.4114  0.1533
Cd  0.5000  0.6650  0.6650
Ag  0.0000  0.4109  0.4109
Au  0.5000  0.0772  0.7395
Au  0.5000  0.7395  0.0772

***

[2]
Starting from a crystal structure in OQMD, relaxed with PBE, the powder diffractogram of Sc2Cd3Ag2Au was simulated for Cu Ka.

Main lines, sorted by position (5 to 70 degrees two-theta):
d_spacing	Position (°2θ)	Rel. int.
3.928	22.63	13
3.432	25.96	4
3.388	26.31	8
2.411	37.30	100
2.395	37.55	49
2.045	44.29	5
1.716	53.40	8
1.694	54.15	16
1.395	67.10	17
1.386	67.59	33

Structural model:
a b c (Å): 4.7909 4.7909 6.8632
angles (deg): 90.00 90.00 90.00
Element x y z (fractional)
Sc  0.0000  0.5000  0.2338
Sc  0.5000  0.0000  0.7662
Cd  0.0000  0.5000  0.7490
Cd  0.5000  0.0000  0.2510
Cd  0.5000  0.5000  0.5000
Ag  0.0000  0.0000  0.5000
Ag  0.5000  0.5000  0.0000
Au  0.0000  0.0000  0.0000

***

[3]
Starting from a crystal structure in OQMD, relaxed with PBE, the powder diffractogram of ScCd2Ag4Au was simulated for Cu Ka.

Main lines, sorted by position (5 to 70 degrees two-theta):
d_spacing	Position (°2θ)	Rel. int.
6.295	14.07	9
2.662	33.67	11
2.493	36.03	21
2.439	36.85	32
2.336	38.53	100
2.220	40.64	20
1.798	50.77	9
1.743	52.49	14
1.470	63.28	9
1.388	67.50	18

Structural model:
a b c (Å): 4.8780 6.2955 4.9857
angles (deg): 90.00 90.00 90.00
Element x y z (fractional)
Sc  0.0000  0.0000  0.0000
Cd  0.0000  0.5000  0.0159
Cd  0.5000  0.0000  0.4124
Ag  0.0000  0.2542  0.5150
Ag  0.0000  0.7458  0.5150
Ag  0.5000  0.2528  0.9043
Ag  0.5000  0.7472  0.9043
Au  0.5000  0.5000  0.4039

***

[4]
Starting from a crystal structure in OQMD, relaxed with PBE, the powder diffractogram of ScCdAgAu was simulated for Cu Ka.

Main lines, sorted by position (5 to 70 degrees two-theta):
d_spacing	Position (°2θ)	Rel. int.
3.904	22.78	19
3.407	26.15	13
3.330	26.78	6
2.409	37.32	51
2.381	37.78	100
2.050	44.17	7
1.704	53.81	17
1.665	55.17	8
1.386	67.62	33
1.370	68.51	17

Structural model:
a b c (Å): 4.8160 4.8209 6.6590
angles (deg): 90.00 90.00 90.00
Element x y z (fractional)
Sc  0.0000  0.2345  0.0000
Sc  0.5000  0.7655  0.5000
Cd  0.0000  0.2341  0.5000
Cd  0.5000  0.7659  0.0000
Ag  0.0000  0.7321  0.2501
Ag  0.5000  0.2679  0.7501
Au  0.0000  0.7339  0.7501
Au  0.5000  0.2661  0.2501

***

[5]
Starting from a crystal structure in OQMD, relaxed with PBE, the powder diffractogram of Sc2Cd3AgAu2 was simulated for Cu Ka.

Main lines, sorted by position (5 to 70 degrees two-theta):
d_spacing	Position (°2θ)	Rel. int.
3.921	22.68	12
3.396	26.24	13
2.401	37.45	100
2.048	44.23	7
1.961	46.31	4
1.698	54.01	17
1.558	59.31	3
1.519	61.01	5
1.386	67.57	34

Structural model:
a b c (Å): 4.8025 4.8025 6.7911
angles (deg): 90.00 90.00 90.00
Element x y z (fractional)
Sc  0.0000  0.5000  0.2431
Sc  0.5000  0.0000  0.7569
Cd  0.0000  0.5000  0.7552
Cd  0.5000  0.0000  0.2448
Cd  0.5000  0.5000  0.5000
Ag  0.0000  0.0000  0.0000
Au  0.0000  0.0000  0.5000
Au  0.5000  0.5000  0.0000

***

[6]
Starting from a crystal structure in OQMD, relaxed with PBE, the powder diffractogram of YCd2Ag4Au was simulated for Cu Ka.

Main lines, sorted by position (5 to 70 degrees two-theta):
d_spacing	Position (°2θ)	Rel. int.
6.693	13.23	9
2.782	32.17	10
2.503	35.88	19
2.434	36.93	30
2.416	37.22	100
2.226	40.52	17
1.745	52.43	13
1.673	54.87	8
1.402	66.73	17
1.379	67.98	8

Structural model:
a b c (Å): 4.8687 6.6933 5.0061
angles (deg): 90.00 90.00 90.00
Element x y z (fractional)
Y  0.0000  0.0000  0.0000
Cd  0.0000  0.5000  0.0183
Cd  0.5000  0.0000  0.4409
Ag  0.0000  0.2688  0.5162
Ag  0.0000  0.7312  0.5162
Ag  0.5000  0.2715  0.8998
Ag  0.5000  0.7285  0.8998
Au  0.5000  0.5000  0.3976